Starting from a DFT-relaxed cell (PBE, Alexandria), the powder diffractogram of YPa2Re9 was computed for a wavelength of 1.5418 Å.
Intensities are scaled so that the largest is 100.

Peak list (8 most intense, 2θ from 15° to 90°, in order of rising 2θ)
2θ = 34.04°, d = 2.634 Å, intensity 22; 2θ = 39.31°, d = 2.292 Å, intensity 29; 2θ = 39.46°, d = 2.284 Å, intensity 100; 2θ = 39.65°, d = 2.273 Å, intensity 25; 2θ = 42.92°, d = 2.107 Å, intensity 34; 2θ = 64.57°, d = 1.443 Å, intensity 24; 2θ = 71.66°, d = 1.317 Å, intensity 27; 2θ = 84.93°, d = 1.142 Å, intensity 20

Structural model:
Cell: 5.2677 5.2677 27.5041 Å, 90.00 90.00 120.00°
Space group R-3m (No. 166, hexagonal axes)
Asymmetric unit:
Y 0.0000 0.0000 0.0000 x3
Pa 0.0000 0.0000 0.1467 x6
Re 0.0000 0.0000 0.3353 x6
Re 0.0000 0.0000 0.5000 x3
Re 0.0045 0.5023 0.9179 x18



Starting from a DFT-relaxed cell (PBE, Alexandria), the powder diffractogram of SrPaRhS4 was computed for a wavelength of 1.5418 Å.
Intensities are scaled so that the largest is 100.

Peak list (8 most intense, 2θ from 15° to 90°, in order of rising 2θ)
2θ = 20.71°, d = 4.289 Å, intensity 94; 2θ = 27.10°, d = 3.290 Å, intensity 82; 2θ = 30.63°, d = 2.918 Å, intensity 96; 2θ = 33.36°, d = 2.686 Å, intensity 100; 2θ = 34.73°, d = 2.583 Å, intensity 97; 2θ = 42.13°, d = 2.145 Å, intensity 83; 2θ = 43.87°, d = 2.064 Å, intensity 93; 2θ = 45.73°, d = 1.984 Å, intensity 63

Structural model:
Cell: 6.564 5.837 8.267 Å, 90.00 105.52 90.00°
Space group P2_1/m (No. 11)
Asymmetric unit:
Sr 0.244 0.250 0.446 x2
Pa 0.250 0.250 0.944 x2
Rh 0.264 0.750 0.146 x2
S 0.044 0.750 0.885 x2
S 0.055 0.750 0.348 x2
S 0.472 0.513 0.769 x4



Starting from a DFT-relaxed cell (PBE, Alexandria), the powder diffractogram of Pa3Sb4Rh3 was computed for a wavelength of 1.5418 Å.
Intensities are scaled so that the largest is 100.

Peak list (8 most intense, 2θ from 15° to 90°, in order of rising 2θ)
2θ = 22.60°, d = 3.934 Å, intensity 13; 2θ = 29.31°, d = 3.047 Å, intensity 38; 2θ = 34.84°, d = 2.575 Å, intensity 100; 2θ = 41.93°, d = 2.155 Å, intensity 47; 2θ = 46.15°, d = 1.967 Å, intensity 14; 2θ = 51.98°, d = 1.759 Å, intensity 15; 2θ = 59.10°, d = 1.563 Å, intensity 17; 2θ = 72.02°, d = 1.311 Å, intensity 14

Structural model:
Cell: 9.636 9.636 9.636 Å, 90.00 90.00 90.00°
Space group I-43d (No. 220)
Asymmetric unit:
Pa 0.000 0.250 0.875 x12
Sb 0.086 0.414 0.586 x16
Rh 0.000 0.250 0.375 x12



Starting from a DFT-relaxed cell (PBE, Alexandria), the powder diffractogram of Pa4Si3SbRh12 was computed for a wavelength of 1.5418 Å.
Intensities are scaled so that the largest is 100.

Peak list (8 most intense, 2θ from 15° to 90°, in order of rising 2θ)
2θ = 27.65°, d = 3.226 Å, intensity 32; 2θ = 34.03°, d = 2.634 Å, intensity 100; 2θ = 39.50°, d = 2.281 Å, intensity 73; 2θ = 48.90°, d = 1.863 Å, intensity 14; 2θ = 57.10°, d = 1.613 Å, intensity 49; 2θ = 68.16°, d = 1.376 Å, intensity 39; 2θ = 71.65°, d = 1.317 Å, intensity 16; 2θ = 78.42°, d = 1.219 Å, intensity 8

Structural model:
Cell: 9.126 9.126 9.126 Å, 90.00 90.00 90.00°
Space group Im-3m (No. 229)
Asymmetric unit:
Pa 0.250 0.250 0.250 x8
Si 0.000 0.000 0.500 x6
Sb 0.000 0.000 0.000 x2
Rh 0.000 0.000 0.265 x12
Rh 0.000 0.250 0.500 x12